(1)
The following is a computed powder XRD pattern of ThAlNi5. It was derived from a GGA-PBE-relaxed structure, using a wavelength of 1.5418 Å.
Kinematic intensities with the Lorentz-polarization factor, no thermal factor.

Atomic structure:
Cell lengths 7.975, 4.898, 10.090 Å; angles 90.00, 90.00, 90.00 degrees
Space group Pnma (No. 62)
Symmetry-distinct sites (fractional):
1 Th 0.250 0.250 0.056 [4 per cell]
2 Al 0.145 0.250 0.356 [4 per cell]
3 Ni 0.054 0.250 0.592 [4 per cell]
4 Ni 0.065 0.506 0.804 [8 per cell]
5 Ni 0.099 0.750 0.016 [4 per cell]
6 Ni 0.185 0.750 0.253 [4 per cell]

Largest 10 diffraction maxima, by angle, 15 to 90 degrees two-theta:
2θ (°)	I/Imax
20.83	17
23.06	38
36.70	15
37.39	29
39.59	100
40.96	19
43.36	18
46.43	23
47.33	16
68.02	19

(2)
The following is a computed powder XRD pattern of Pr5As2Se2. It was derived from a GGA-PBE-relaxed structure, using a wavelength of 1.5418 Å.
Kinematic intensities with the Lorentz-polarization factor, no thermal factor.

Atomic structure:
Cell lengths 15.222, 7.983, 8.024 Å; angles 90.00, 90.00, 90.00 degrees
Space group Cmce (No. 64)
Symmetry-distinct sites (fractional):
1 Pr 0.000 0.000 0.000 [4 per cell]
2 Pr 0.135 0.159 0.344 [16 per cell]
3 As 0.000 0.145 0.644 [8 per cell]
4 Se 0.197 0.000 0.000 [8 per cell]

Largest 10 diffraction maxima, by angle, 15 to 90 degrees two-theta:
2θ (°)	I/Imax
24.91	34
30.53	100
31.62	31
32.47	47
33.42	35
34.43	89
35.90	64
36.04	66
38.81	23
65.54	37

(3)
The following is a computed powder XRD pattern of Cs2FeSeBr6. It was derived from a GGA-PBE-relaxed structure, using a wavelength of 1.5418 Å.
Kinematic intensities with the Lorentz-polarization factor, no thermal factor.

Atomic structure:
Cell lengths 8.021, 8.021, 10.950 Å; angles 90.00, 90.00, 90.00 degrees
Space group I4/mmm (No. 139)
Symmetry-distinct sites (fractional):
1 Cs 0.000 0.500 0.250 [4 per cell]
2 Fe 0.000 0.000 0.000 [2 per cell]
3 Se 0.000 0.000 0.500 [2 per cell]
4 Br 0.000 0.000 0.261 [4 per cell]
5 Br 0.219 0.219 0.000 [8 per cell]

Largest 10 diffraction maxima, by angle, 15 to 90 degrees two-theta:
2θ (°)	I/Imax
22.17	17
22.57	29
27.57	100
31.55	72
32.71	36
45.22	23
46.09	48
53.78	22
55.30	13
56.92	23

(4)
The following is a computed powder XRD pattern of SmNp2As3. It was derived from a GGA-PBE-relaxed structure, using a wavelength of 1.5418 Å.
Kinematic intensities with the Lorentz-polarization factor, no thermal factor.

Atomic structure:
Cell lengths 8.263, 11.700, 24.879 Å; angles 90.00, 90.00, 90.00 degrees
Space group Fddd (No. 70, origin choice 2)
Symmetry-distinct sites (fractional):
1 Sm 0.125 0.125 0.042 [16 per cell]
2 Np 0.125 0.125 0.374 [16 per cell]
3 Np 0.125 0.125 0.541 [16 per cell]
4 As 0.118 0.375 0.875 [16 per cell]
5 As 0.122 0.372 0.707 [32 per cell]

Largest 10 diffraction maxima, by angle, 15 to 90 degrees two-theta:
2θ (°)	I/Imax
26.38	38
30.55	100
43.74	63
51.79	13
54.23	13
54.37	13
63.60	13
72.20	23
80.29	13
80.48	13

(5)
The following is a computed powder XRD pattern of SrMnH8Rh2. It was derived from a GGA-PBE-relaxed structure, using a wavelength of 1.5418 Å.
Kinematic intensities with the Lorentz-polarization factor, no thermal factor.

Atomic structure:
Cell lengths 4.8136, 4.8136, 17.4459 Å; angles 90.00, 90.00, 120.00 degrees
Space group R-3 (No. 148, hexagonal axes)
Symmetry-distinct sites (fractional):
1 Sr 0.0000 0.0000 0.0000 [3 per cell]
2 Mn 0.0000 0.0000 0.5000 [3 per cell]
3 H 0.0000 0.0000 0.2964 [6 per cell]
4 H 0.0104 0.2846 0.8788 [18 per cell]
5 Rh 0.0000 0.0000 0.1989 [6 per cell]

Largest 10 diffraction maxima, by angle, 15 to 90 degrees two-theta:
2θ (°)	I/Imax
15.24	56
21.92	31
29.64	62
30.75	21
33.49	61
37.36	100
40.57	24
49.14	34
57.24	28
82.49	19